Starting from a cell relaxed with PBE, the powder XRD pattern of HoCdH2Cl2O2 was simulated for Cu Kα (weighted mean of Kα1 and Kα2).

Crystal structure
abc: 3.8803 3.8803 10.2774
angles: 90.00 90.00 120.00
Space group P3m1 (No. 156)
Inequivalent atoms, fractional coordinates:
Ho1 0.0000 0.0000 0.0000 [1 per cell]
Cd1 0.3333 0.6667 0.4838 [1 per cell]
H1 0.6667 0.3333 0.1458 [1 per cell]
H2 0.6667 0.3333 0.6410 [1 per cell]
Cl1 0.0000 0.0000 0.2537 [1 per cell]
Cl2 0.3333 0.6667 0.8343 [1 per cell]
O1 0.6667 0.3333 0.0493 [1 per cell]
O2 0.6667 0.3333 0.5453 [1 per cell]

Most intense lines, 2θ = 10–80°, sorted by position:
- d = 5.139 Å, 2θ = 17.26°, rel. 62
- d = 3.360 Å, 2θ = 26.52°, rel. 22
- d = 3.194 Å, 2θ = 27.93°, rel. 100
- d = 2.812 Å, 2θ = 31.82°, rel. 16
- d = 2.569 Å, 2θ = 34.92°, rel. 15
- d = 2.399 Å, 2θ = 37.49°, rel. 65
- d = 2.041 Å, 2θ = 44.38°, rel. 15
- d = 1.940 Å, 2θ = 46.82°, rel. 32
- d = 1.815 Å, 2θ = 50.27°, rel. 23
- d = 1.753 Å, 2θ = 52.16°, rel. 17
- d = 1.548 Å, 2θ = 59.72°, rel. 19
- d = 1.509 Å, 2θ = 61.46°, rel. 15